Record 1
Computed powder X-ray diffraction pattern of Hf3MoH6 for λ = 1.5418 Å (Cu Kα), from a cell relaxed with PBE.

Structural model:
abc: 8.1446 8.1446 9.9885
angles: 90.00 90.00 120.00
Space group R-3 (No. 148, hexagonal axes)
Symmetry-distinct sites (fractional):
Hf: 0.0033 0.7534 0.2470
Mo: 0.0000 0.0000 0.0000
Mo: 0.0000 0.0000 0.5000
H: 0.0021 0.8484 0.8620
H: 0.0448 0.8063 0.4432

Principal peaks in the range 2θ from 15° to 90°, in order of rising 2θ:
Position (°2θ)	d [Å]	I_rel	hkl
21.81	4.074	7	0 1 2
31.04	2.881	21	2 0 2
34.82	2.577	100	3 -1 1
38.26	2.352	47	1 2 2
55.23	1.663	14	0 4 2
57.69	1.598	24	3 -2 5
60.09	1.540	25	4 1 0
64.72	1.440	13	4 0 4
73.51	1.288	7	6 -2 2
75.64	1.257	22	3 -1 7
77.71	1.229	3	0 5 4
77.78	1.228	3	1 5 2


Record 2
Computed powder X-ray diffraction pattern of CsIn2Os for λ = 1.5418 Å (Cu Kα), from a cell relaxed with PBE.

Structural model:
abc: 7.0514 7.0514 14.7171
angles: 90.00 90.00 90.00
Space group I4_1/amd (No. 141, origin choice 2)
Symmetry-distinct sites (fractional):
Cs: 0.0000 0.2500 0.3750
In: 0.0000 0.0000 0.0000
Os: 0.0000 0.2500 0.8750

Principal peaks in the range 2θ from 15° to 90°, in order of rising 2θ:
Position (°2θ)	d [Å]	I_rel	hkl
21.53	4.128	100	1 1 2
25.26	3.526	34	2 0 0
28.06	3.180	29	2 0 2
33.79	2.653	16	2 1 3
35.26	2.546	29	2 0 4
41.01	2.201	19	1 1 6
42.35	2.134	34	3 1 2
43.87	2.064	47	2 2 4
45.01	2.014	11	2 0 6
51.87	1.763	14	4 0 0
55.71	1.650	15	3 1 6
56.44	1.630	11	2 0 8


Record 3
Computed powder X-ray diffraction pattern of Cs3HgSe for λ = 1.5418 Å (Cu Kα), from a cell relaxed with PBE.

Structural model:
abc: 18.2636 5.0091 11.6185
angles: 90.00 93.78 90.00
Space group C2/m (No. 12)
Symmetry-distinct sites (fractional):
Cs: 0.0534 0.0000 0.1379
Cs: 0.0930 0.5000 0.6274
Cs: 0.2372 0.0000 0.8523
Hg: 0.2077 0.0000 0.4502
Se: 0.1108 0.5000 0.9239

Principal peaks in the range 2θ from 15° to 90°, in order of rising 2θ:
Position (°2θ)	d [Å]	I_rel	hkl
23.77	3.743	22	1 1 -2
23.98	3.711	100	3 1 -1
25.65	3.473	27	4 0 2
28.29	3.155	29	3 1 2
29.30	3.048	21	4 0 -3
29.86	2.992	50	1 1 3
30.33	2.947	40	5 1 0
30.88	2.895	22	0 0 4
35.85	2.505	31	0 2 0
43.00	2.103	17	7 1 2
43.61	2.075	20	4 2 -2
46.99	1.934	25	4 2 -3


Record 4
Computed powder X-ray diffraction pattern of ZnCdTeP for λ = 1.5418 Å (Cu Kα), from a cell relaxed with PBE.

Structural model:
abc: 4.4066 4.4131 6.6363
angles: 104.62 94.64 119.65
Space group P1 (No. 1)
Symmetry-distinct sites (fractional):
Zn: 0.0000 0.0000 0.0000
Cd: 0.0729 0.5137 0.5887
Te: 0.7260 0.4233 0.1499
P: 0.7493 0.8902 0.6411

Principal peaks in the range 2θ from 15° to 90°, in order of rising 2θ:
Position (°2θ)	d [Å]	I_rel	hkl
23.96	3.714	100	1 0 0
24.70	3.605	45	0 1 0
26.21	3.400	19	1 -1 1
28.68	3.113	63	0 0 2
28.82	3.097	72	-1 1 1
30.93	2.891	49	0 1 -2
40.71	2.217	40	1 1 -1
42.24	2.140	43	1 0 2
42.45	2.130	58	-2 1 1
44.91	2.018	45	2 -1 1
50.53	1.806	27	0 2 0
52.43	1.745	15	-1 1 3


Record 5
Computed powder X-ray diffraction pattern of BaSiIr2 for λ = 1.5418 Å (Cu Kα), from a cell relaxed with PBE.

Structural model:
abc: 4.2857 4.2857 17.5335
angles: 90.00 90.00 120.00
Space group R-3m (No. 166, hexagonal axes)
Symmetry-distinct sites (fractional):
Ba: 0.0000 0.0000 0.0000
Si: 0.0000 0.0000 0.5000
Ir: 0.0000 0.0000 0.1916

Principal peaks in the range 2θ from 15° to 90°, in order of rising 2θ:
Position (°2θ)	d [Å]	I_rel	hkl
15.16	5.845	65	0 0 3
24.52	3.631	65	1 0 1
30.59	2.922	33	0 0 6
31.59	2.833	24	1 0 4
35.21	2.549	100	0 1 5
42.17	2.143	80	1 1 0
45.06	2.012	26	1 1 3
52.99	1.728	42	1 1 6
56.07	1.640	27	2 0 5
58.19	1.585	26	1 0 10
72.58	1.302	25	1 2 5
89.46	1.095	16	2 1 10


Record 6
Computed powder X-ray diffraction pattern of BPdAu2 for λ = 1.5418 Å (Cu Kα), from a cell relaxed with PBE.

Structural model:
abc: 6.9020 6.9020 5.1250
angles: 90.00 90.00 90.00
Space group I-42d (No. 122)
Symmetry-distinct sites (fractional):
B: 0.0000 0.0000 0.0000
Pd: 0.0000 0.0000 0.5000
Au: 0.1677 0.2500 0.1250

Principal peaks in the range 2θ from 15° to 90°, in order of rising 2θ:
Position (°2θ)	d [Å]	I_rel	hkl
25.82	3.451	28	2 0 0
33.90	2.644	100	2 1 1
36.83	2.440	35	2 2 0
39.73	2.269	75	1 1 2
41.37	2.183	14	3 1 0
43.10	2.099	33	3 0 1
50.92	1.793	25	3 2 1
55.29	1.662	19	3 1 2
69.44	1.354	13	5 1 0
70.67	1.333	22	4 3 1
74.43	1.275	19	3 2 3
79.86	1.201	13	2 0 4


Record 7
Computed powder X-ray diffraction pattern of Ba3LiOs2O9 for λ = 1.5418 Å (Cu Kα), from a cell relaxed with PBE.

Structural model:
abc: 5.8975 5.8975 14.2336
angles: 90.00 90.00 120.00
Space group P6_3/mmc (No. 194)
Symmetry-distinct sites (fractional):
Ba: 0.0000 0.0000 0.2500
Ba: 0.3333 0.6667 0.0868
Li: 0.0000 0.0000 0.0000
Os: 0.3333 0.6667 0.6602
O: 0.0157 0.5078 0.7500
O: 0.1767 0.3535 0.5878

Principal peaks in the range 2θ from 15° to 90°, in order of rising 2θ:
Position (°2θ)	d [Å]	I_rel	hkl
17.36	5.107	26	1 0 0
18.46	4.807	39	1 0 1
25.63	3.476	14	1 0 3
30.31	2.949	100	1 1 0
30.62	2.920	35	1 0 4
36.12	2.487	35	1 0 5
43.63	2.075	23	2 0 4
47.85	1.901	20	2 0 5
53.85	1.702	20	3 0 0
54.04	1.697	14	2 1 4
57.70	1.598	20	2 1 5
63.05	1.474	19	2 2 0


Record 8
Computed powder X-ray diffraction pattern of LaCe3Rh for λ = 1.5418 Å (Cu Kα), from a cell relaxed with PBE.

Structural model:
abc: 8.9455 7.2737 9.6161
angles: 90.00 121.85 90.00
Space group P2_1/c (No. 14)
Symmetry-distinct sites (fractional):
La: 0.1613 0.0713 0.4048
Ce: 0.1334 0.6254 0.5392
Ce: 0.2279 0.0081 0.8280
Ce: 0.4316 0.0919 0.2341
Rh: 0.4593 0.7214 0.9630

Principal peaks in the range 2θ from 15° to 90°, in order of rising 2θ:
Position (°2θ)	d [Å]	I_rel	hkl
29.81	2.998	46	1 0 2
30.99	2.886	40	1 1 -3
31.12	2.874	100	2 1 -3
31.62	2.829	55	1 2 1
31.75	2.819	78	2 2 -1
32.30	2.771	41	1 1 2
32.62	2.745	45	3 1 -2
33.38	2.685	49	3 1 -1
35.45	2.532	59	3 0 0
37.41	2.404	38	2 0 -4
38.95	2.313	56	1 2 2
52.69	1.737	41	5 1 -3


Record 9
Computed powder X-ray diffraction pattern of Ho6Tl5 for λ = 1.5418 Å (Cu Kα), from a cell relaxed with PBE.

Structural model:
abc: 8.5527 11.6116 6.6605
angles: 90.00 104.20 90.00
Space group C2/m (No. 12)
Symmetry-distinct sites (fractional):
Ho: 0.1819 0.0000 0.1982
Ho: 0.1985 0.1494 0.6922
Tl: 0.0000 0.2286 0.0000
Tl: 0.0000 0.3696 0.5000
Tl: 0.0000 0.5000 0.0000

Principal peaks in the range 2θ from 15° to 90°, in order of rising 2θ:
Position (°2θ)	d [Å]	I_rel	hkl
30.24	2.956	100	1 3 1
30.64	2.918	98	2 0 -2
32.30	2.772	17	2 2 1
33.06	2.709	45	1 1 2
33.32	2.689	45	3 1 0
33.86	2.648	59	0 4 1
38.46	2.341	43	2 4 -1
39.36	2.289	17	2 0 2
39.72	2.269	47	3 3 -1
47.20	1.926	30	1 3 -3
59.32	1.558	25	4 4 1
62.11	1.494	22	2 4 3


Record 10
Computed powder X-ray diffraction pattern of Ce5Ru2Pt2 for λ = 1.5418 Å (Cu Kα), from a cell relaxed with PBE.

Structural model:
abc: 17.7713 6.6221 7.2435
angles: 90.00 90.00 90.00
Space group Ima2 (No. 46)
Symmetry-distinct sites (fractional):
Ce: 0.0692 0.1764 0.0000
Ce: 0.1634 0.6597 0.8682
Ce: 0.2500 0.1416 0.7291
Ru: 0.0000 0.0000 0.2778
Ru: 0.2500 0.0155 0.0511
Pt: 0.0699 0.5932 0.1719

Principal peaks in the range 2θ from 15° to 90°, in order of rising 2θ:
Position (°2θ)	d [Å]	I_rel	hkl
28.51	3.131	46	5 1 0
30.12	2.967	69	6 0 0
31.95	2.801	92	3 1 2
33.38	2.684	100	3 2 1
35.44	2.533	78	6 1 1
37.98	2.369	39	5 1 2
38.20	2.356	30	2 2 2
39.27	2.294	71	6 0 2
39.74	2.268	52	0 1 3
41.07	2.198	20	2 1 3
44.08	2.054	20	2 3 1
54.75	1.677	27	9 1 2